Entry 1:
Diffraction record for NbAg3Se4. The X-ray powder pattern is calculated, not measured: it uses a DFT-relaxed cell (PBE, OQMD) and Cu Ka.
Peak positions follow from Bragg's law for the DFT cell and can differ from measured ones.

Principal peaks in the range 15 to 90 degrees two-theta, by intensity:
two_theta, I (rel.)
36.06, 100
64.84, 21
31.10, 21
58.60, 13
55.33, 13
51.92, 12
82.08, 11
25.29, 9

Structure:
```
NbAg3Se4
1.0
-3.522 3.522 3.522
3.522 -3.522 3.522
3.522 3.522 -3.522
Nb Ag Se
1 3 4
direct
0.000 0.000 0.000
0.000 0.500 0.500
0.500 0.000 0.500
0.500 0.500 0.000
0.000 0.000 0.402
0.000 0.402 0.000
0.402 0.000 0.000
0.598 0.598 0.598
```

***

Entry 2:
Diffraction record for Li4GdAsO6. The X-ray powder pattern is calculated, not measured: it uses a DFT-relaxed cell (PBE, OQMD) and Cu Ka.
Peak positions follow from Bragg's law for the DFT cell and can differ from measured ones.

Principal peaks in the range 15 to 90 degrees two-theta, by intensity:
two_theta, I (rel.)
18.33, 100
41.15, 51
19.99, 49
33.45, 37
23.12, 36
18.69, 25
26.29, 24
43.00, 23

Structure:
```
Li4GdAsO6
1.0
2.646 -4.748 0.000
2.646 4.748 0.000
-1.597 0.000 4.841
Li Gd As O
4 1 1 6
direct
0.000 0.000 0.000
0.395 0.605 0.000
0.661 0.339 0.000
0.862 0.138 0.500
0.197 0.803 0.500
0.525 0.475 0.500
0.168 0.396 0.269
0.297 0.256 0.722
0.462 0.129 0.267
0.604 0.832 0.731
0.744 0.703 0.278
0.871 0.538 0.733
```

***

Entry 3:
Diffraction record for RbGd2Cu3Te5. The X-ray powder pattern is calculated, not measured: it uses a DFT-relaxed cell (PBE, OQMD) and Cu Ka.
Peak positions follow from Bragg's law for the DFT cell and can differ from measured ones.

Principal peaks in the range 15 to 90 degrees two-theta, by intensity:
two_theta, I (rel.)
27.21, 100
33.29, 82
26.76, 81
41.21, 74
28.52, 71
29.34, 67
44.08, 55
36.38, 47

Structure:
```
RbGd2Cu3Te5
1.0
2.191 -7.696 0.000
2.191 7.696 0.000
0.000 0.000 18.267
Rb Gd Cu Te
2 4 6 10
direct
0.056 0.944 0.750
0.944 0.056 0.250
0.192 0.808 0.091
0.192 0.808 0.409
0.808 0.192 0.591
0.808 0.192 0.909
0.339 0.661 0.750
0.414 0.586 0.021
0.414 0.586 0.479
0.586 0.414 0.521
0.586 0.414 0.979
0.661 0.339 0.250
0.161 0.839 0.574
0.161 0.839 0.926
0.251 0.749 0.250
0.445 0.555 0.620
0.445 0.555 0.880
0.555 0.445 0.120
0.555 0.445 0.380
0.749 0.251 0.750
0.839 0.161 0.074
0.839 0.161 0.426
```

***

Entry 4:
Diffraction record for CuAg4. The X-ray powder pattern is calculated, not measured: it uses a DFT-relaxed cell (PBE, OQMD) and Cu Ka.
Peak positions follow from Bragg's law for the DFT cell and can differ from measured ones.

Principal peaks in the range 15 to 90 degrees two-theta, by intensity:
two_theta, I (rel.)
38.25, 100
44.45, 43
38.44, 33
44.64, 21
64.65, 20
77.64, 19
77.83, 11
77.99, 11

Structure:
```
CuAg4
1.0
4.977 0.000 0.000
-0.857 4.918 0.000
-2.447 -2.089 6.890
Cu Ag
2 8
direct
0.195 0.097 0.194
0.805 0.903 0.806
0.000 0.000 0.500
0.000 0.500 0.000
0.203 0.608 0.703
0.391 0.193 0.902
0.400 0.699 0.399
0.600 0.301 0.601
0.609 0.807 0.098
0.797 0.392 0.297
```

***

Entry 5:
Diffraction record for TmHfCu2Sn2. The X-ray powder pattern is calculated, not measured: it uses a DFT-relaxed cell (PBE, OQMD) and Cu Ka.
Peak positions follow from Bragg's law for the DFT cell and can differ from measured ones.

Principal peaks in the range 15 to 90 degrees two-theta, by intensity:
two_theta, I (rel.)
35.14, 100
40.21, 70
54.45, 29
69.81, 27
69.52, 17
22.90, 13
73.08, 12
26.45, 11

Structure:
```
TmHfCu2Sn2
1.0
4.485 0.000 0.000
-2.243 3.884 0.000
0.000 0.000 6.779
Tm Hf Cu Sn
1 1 2 2
direct
0.000 0.000 0.000
0.000 0.000 0.499
0.333 0.667 0.329
0.667 0.333 0.804
0.333 0.667 0.733
0.667 0.333 0.245
```

***

Entry 6:
Diffraction record for Ba3Er2Cu2Te10Pt. The X-ray powder pattern is calculated, not measured: it uses a DFT-relaxed cell (PBE, OQMD) and Cu Ka.
Peak positions follow from Bragg's law for the DFT cell and can differ from measured ones.

Principal peaks in the range 15 to 90 degrees two-theta, by intensity:
two_theta, I (rel.)
32.65, 100
35.19, 90
33.90, 81
36.30, 71
25.06, 53
30.98, 52
29.27, 50
34.47, 49

Structure:
```
Ba3Er2Cu2Te10Pt
1.0
8.441 -3.614 0.000
8.441 3.614 0.000
-3.485 0.000 9.597
Ba Er Cu Te Pt
3 2 2 10 1
direct
0.000 0.000 0.000
0.157 0.157 0.576
0.843 0.843 0.424
0.329 0.329 0.138
0.671 0.671 0.862
0.393 0.393 0.739
0.607 0.607 0.261
0.087 0.551 0.875
0.230 0.730 0.289
0.270 0.770 0.711
0.331 0.331 0.458
0.449 0.913 0.125
0.551 0.087 0.875
0.669 0.669 0.542
0.730 0.230 0.289
0.770 0.270 0.711
0.913 0.449 0.125
0.500 0.500 0.500
```

***

Entry 7:
Diffraction record for AgPdS6. The X-ray powder pattern is calculated, not measured: it uses a DFT-relaxed cell (PBE, OQMD) and Cu Ka.
Peak positions follow from Bragg's law for the DFT cell and can differ from measured ones.

Principal peaks in the range 15 to 90 degrees two-theta, by intensity:
two_theta, I (rel.)
17.74, 100
34.35, 89
41.73, 75
29.17, 68
45.67, 58
60.49, 43
35.93, 34
55.12, 27

Structure:
```
AgPdS6
1.0
0.000 4.329 4.329
4.329 0.000 4.329
4.329 4.329 0.000
Ag Pd S
1 1 6
direct
0.000 0.000 0.000
0.750 0.750 0.750
0.030 0.030 0.470
0.030 0.470 0.030
0.030 0.470 0.470
0.470 0.030 0.030
0.470 0.030 0.470
0.470 0.470 0.030
```

***

Entry 8:
Diffraction record for TbTmCu2Ge2. The X-ray powder pattern is calculated, not measured: it uses a DFT-relaxed cell (PBE, OQMD) and Cu Ka.
Peak positions follow from Bragg's law for the DFT cell and can differ from measured ones.

Principal peaks in the range 15 to 90 degrees two-theta, by intensity:
two_theta, I (rel.)
34.73, 100
42.68, 49
56.15, 25
73.02, 23
67.94, 21
24.26, 19
50.17, 9
78.15, 8

Structure:
```
TbTmCu2Ge2
1.0
4.237 0.000 0.000
-2.118 3.669 0.000
0.000 0.000 7.274
Tb Tm Cu Ge
1 1 2 2
direct
0.000 0.000 0.000
0.000 0.000 0.501
0.333 0.667 0.236
0.667 0.333 0.721
0.333 0.667 0.765
0.667 0.333 0.274
```